Calculated powder diffraction line list of Na2LiCuP4O12 for Cu Kα, 1.54184 Å, from a crystal structure in the Materials Project, relaxed with GGA-PBE.
Neutral-atom scattering factors, no anomalous dispersion.

The 10 most intense peaks (10 to 80 degrees two-theta), by intensity:
index  d (Å)  I_rel
1 1 1  5.398  100
2 0 -2  3.216  99
0 4 0  3.634  90
1 1 0  7.844  60
3 3 0  2.614  41
2 2 -1  3.653  38
1 3 2  2.875  35
0 0 2  4.034  27
1 1 -1  5.883  26
0 4 1  3.313  25

Unit cell a=9.366 b=14.536 c=8.111 alpha=90.00 beta=95.86 gamma=90.00
Space group Cc (No. 9)
Inequivalent atoms, fractional coordinates:
1 Na 0.000 0.139 0.000 [4 per cell]
2 Na 0.360 0.142 0.894 [4 per cell]
3 Li 0.140 0.361 0.642 [4 per cell]
4 Cu 0.193 0.349 0.295 [4 per cell]
5 P 0.034 0.435 0.009 [4 per cell]
6 P 0.072 0.163 0.576 [4 per cell]
7 P 0.281 0.159 0.320 [4 per cell]
8 P 0.328 0.431 0.878 [4 per cell]
9 O 0.014 0.375 0.159 [4 per cell]
10 O 0.038 0.262 0.531 [4 per cell]
11 O 0.042 0.463 0.529 [4 per cell]
12 O 0.137 0.142 0.747 [4 per cell]
13 O 0.169 0.119 0.441 [4 per cell]
14 O 0.170 0.395 0.922 [4 per cell]
15 O 0.226 0.143 0.143 [4 per cell]
16 O 0.332 0.254 0.376 [4 per cell]
17 O 0.332 0.466 0.372 [4 per cell]
18 O 0.350 0.374 0.729 [4 per cell]
19 O 0.411 0.087 0.362 [4 per cell]
20 O 0.430 0.399 0.040 [4 per cell]